BaCaAlF7: calculated powder XRD pattern (Cu Kα (weighted mean of Kα1 and Kα2)), based on a PBE-relaxed structure.
Peak positions follow from Bragg's law for the DFT cell and can differ from measured ones.

Structure:
a b c (Å): 5.433 5.461 19.603
angles (deg): 90.00 103.68 90.00
Fractional positions:
Ba 0.184 0.243 0.432
Ba 0.184 0.757 0.932
Ba 0.816 0.243 0.068
Ba 0.816 0.757 0.568
Ca 0.000 0.322 0.750
Ca 0.000 0.678 0.250
Ca 0.500 0.208 0.250
Ca 0.500 0.792 0.750
Al 0.320 0.225 0.620
Al 0.320 0.775 0.120
Al 0.680 0.225 0.880
Al 0.680 0.775 0.380
F 0.008 0.282 0.560
F 0.008 0.718 0.060
F 0.159 0.029 0.675
F 0.159 0.971 0.175
F 0.224 0.363 0.307
F 0.224 0.637 0.807
F 0.263 0.481 0.674
F 0.263 0.519 0.174
F 0.343 0.044 0.065
F 0.343 0.956 0.565
F 0.384 0.138 0.819
F 0.384 0.862 0.319
F 0.466 0.407 0.565
F 0.466 0.593 0.065
F 0.534 0.407 0.935
F 0.534 0.593 0.435
F 0.616 0.138 0.681
F 0.616 0.862 0.181
F 0.657 0.044 0.435
F 0.657 0.956 0.935
F 0.737 0.481 0.826
F 0.737 0.519 0.326
F 0.776 0.363 0.193
F 0.776 0.637 0.693
F 0.841 0.029 0.825
F 0.841 0.971 0.325
F 0.992 0.282 0.940
F 0.992 0.718 0.440

Largest 6 diffraction maxima, in order of rising 2θ, 2θ from 10° to 80°:
| two_theta | I (rel.) | (hkl) |
| --- | --- | --- |
| 23.10 | 100 | 1 1 -1 |
| 24.68 | 95 | 1 1 1 |
| 25.21 | 45 | 1 1 -3 |
| 28.09 | 55 | 0 0 6 |
| 28.57 | 48 | 0 1 5 |
| 39.32 | 49 | 1 2 2 |